Calculated PXRD pattern
Compound: TlCdOF
Radiation: Cu Kα
Structure: a cell relaxed with GGA-PBE

Most intense lines, 2θ = 10–80°, in order of rising 2θ:
- 2θ 13.18, intensity 30, hkl 0 0 3
- 2θ 26.53, intensity 46, hkl 0 0 6
- 2θ 29.66, intensity 90, hkl 1 0 1
- 2θ 30.66, intensity 25, hkl 0 1 2
- 2θ 34.40, intensity 51, hkl 1 0 4
- 2θ 36.98, intensity 100, hkl 0 1 5
- 2θ 51.99, intensity 38, hkl 1 1 0
- 2θ 54.60, intensity 33, hkl 1 0 10
- 2θ 58.80, intensity 18, hkl 0 1 11
- 2θ 59.30, intensity 31, hkl 1 1 6
- 2θ 65.51, intensity 18, hkl 2 0 5
- 2θ 78.76, intensity 17, hkl 0 2 10

Structure:
```
12
Lattice="3.5179 0.0000 0.0000 -1.7589 3.0466 0.0000 0.0000 0.0000 20.1570" Properties=species:S:1:pos:R:3 pbc="T T T"
Tl 0.0000 0.0000 0.0000
Tl 0.0000 2.0311 13.4380
Tl 1.7589 1.0155 6.7190
Cd 0.0000 0.0000 16.3061
Cd 0.0000 2.0311 9.5871
Cd 1.7589 1.0155 2.8681
O 0.0000 0.0000 8.4228
O 0.0000 2.0311 1.7038
O 1.7589 1.0155 15.1418
F 0.0000 0.0000 4.1032
F 0.0000 2.0311 17.5412
F 1.7589 1.0155 10.8222
```

***

Calculated PXRD pattern
Compound: CdPF
Radiation: Cu Kα
Structure: a cell relaxed with GGA-PBE

Most intense lines, 2θ = 10–80°, in order of rising 2θ:
- 2θ 10.45, intensity 72, hkl 0 0 1
- 2θ 25.59, intensity 80, hkl 0 1 1
- 2θ 26.48, intensity 50, hkl 0 1 -1
- 2θ 28.81, intensity 100, hkl 1 0 1
- 2θ 31.71, intensity 93, hkl 0 0 3
- 2θ 34.27, intensity 30, hkl 1 0 -2
- 2θ 36.03, intensity 80, hkl 1 1 0
- 2θ 36.19, intensity 79, hkl 1 -1 0
- 2θ 48.44, intensity 26, hkl 0 1 4
- 2θ 48.67, intensity 30, hkl 0 2 0
- 2θ 49.58, intensity 52, hkl 1 1 -3
- 2θ 51.14, intensity 40, hkl 1 0 4

Structure:
```
6
Lattice="3.3294 0.0000 0.0000 0.0164 3.7454 0.0000 0.0175 0.3847 8.4660" Properties=species:S:1:pos:R:3 pbc="T T T"
Cd 0.8398 0.9637 1.4763
Cd 2.5235 3.1664 6.9897
P 0.8377 0.9054 4.0284
P 2.5256 3.2247 4.4377
F 0.8563 1.3330 7.6417
F 2.5070 2.7971 0.8243
```

***

Calculated PXRD pattern
Compound: PaCdF6
Radiation: Cu Kα
Structure: a cell relaxed with GGA-PBE

Most intense lines, 2θ = 10–80°, in order of rising 2θ:
- 2θ 17.81, intensity 40, hkl 1 0 0
- 2θ 19.63, intensity 27, hkl 1 0 1
- 2θ 24.33, intensity 100, hkl 1 0 2
- 2θ 31.10, intensity 27, hkl 1 1 0
- 2θ 37.96, intensity 10, hkl 1 0 4
- 2θ 39.87, intensity 28, hkl 2 0 2
- 2θ 46.16, intensity 35, hkl 2 -1 4
- 2θ 51.41, intensity 27, hkl 3 -1 2
- 2θ 54.28, intensity 11, hkl 1 0 6
- 2θ 55.33, intensity 11, hkl 3 0 0
- 2θ 70.34, intensity 11, hkl 3 1 2
- 2θ 72.74, intensity 12, hkl 2 1 6

Structure:
```
16
Lattice="5.7521 0.0000 0.0000 -2.8760 4.9814 0.0000 0.0000 0.0000 10.7803" Properties=species:S:1:pos:R:3 pbc="T T T"
Pa 0.0000 0.0000 0.0000
Pa 0.0000 0.0000 5.3901
Cd 0.0000 3.3210 2.6951
Cd 2.8760 1.6605 8.0852
F -0.6577 1.6604 1.3052
F -1.7669 3.5816 4.0850
F 0.6577 1.6604 4.0850
F -1.1092 4.7208 1.3052
F 1.7668 0.2606 6.6953
F 1.1091 1.3998 9.4751
F 1.7669 3.5816 1.3052
F 1.1092 4.7208 4.0850
F 3.9852 0.2606 9.4751
F 2.2183 3.3210 6.6953
F 4.6429 1.3998 6.6953
F 3.5338 3.3210 9.4751
```